1.
Calculated X-ray diffraction stick pattern
Compound: Pr3HoGa2
Radiation: Cu Kα
Structure: a GGA-PBE-relaxed structure
Neutral-atom scattering factors, no anomalous dispersion.

Peak list (10 most intense, 2θ from 10° to 90°, by intensity)
Position (°2θ)  intensity
32.50  100
33.18  78
34.68  47
28.46  35
31.85  26
58.85  20
48.22  20
61.22  19
30.56  18
38.60  13

Cell: 5.1739 9.7577 6.6922 Å, 90.00 90.00 90.00°
Space group Pmc2_1 (No. 26)
One atom of each set of equivalent atoms:
Pr 0.0000 0.0491 0.0000 [2 per cell]
Pr 0.0000 0.3367 0.3324 [2 per cell]
Pr 0.5000 0.1763 0.7013 [2 per cell]
Ho 0.5000 0.4437 0.0319 [2 per cell]
Ga 0.0000 0.3510 0.8156 [2 per cell]
Ga 0.5000 0.1511 0.2253 [2 per cell]



2.
Calculated X-ray diffraction stick pattern
Compound: Ho2Ga3Pt5
Radiation: Cu Kα
Structure: a GGA-PBE-relaxed structure
Neutral-atom scattering factors, no anomalous dispersion.

Peak list (10 most intense, 2θ from 10° to 90°, by intensity)
Position (°2θ)  intensity
35.29  100
35.15  81
44.97  79
32.41  40
45.83  25
31.48  21
42.76  20
36.20  18
71.07  18
76.72  17

Cell: 11.3652 11.4306 5.6875 Å, 90.00 90.00 90.00°
Space group Ibam (No. 72)
One atom of each set of equivalent atoms:
Ho 0.2252 0.1360 0.0000 [8 per cell]
Ga 0.0000 0.5000 0.2500 [4 per cell]
Ga 0.1188 0.1376 0.5000 [8 per cell]
Pt 0.0000 0.0000 0.2500 [4 per cell]
Pt 0.0000 0.2731 0.2500 [8 per cell]
Pt 0.1713 0.4026 0.0000 [8 per cell]



3.
Calculated X-ray diffraction stick pattern
Compound: Ho3Ga3Pt2
Radiation: Cu Kα
Structure: a GGA-PBE-relaxed structure
Neutral-atom scattering factors, no anomalous dispersion.

Peak list (10 most intense, 2θ from 10° to 90°, by intensity)
Position (°2θ)  intensity
38.67  100
36.63  98
32.80  97
34.51  85
42.03  43
37.59  41
55.65  41
37.07  39
47.90  37
41.47  37

Cell: 8.0776 14.8226 5.5860 Å, 90.00 90.00 90.00°
Space group Pnma (No. 62)
One atom of each set of equivalent atoms:
Ho 0.0412 0.1107 0.1209 [8 per cell]
Ho 0.1848 0.2500 0.6352 [4 per cell]
Ga 0.1681 0.7500 0.6351 [4 per cell]
Ga 0.1897 0.0351 0.6125 [8 per cell]
Pt 0.0933 0.6091 0.3728 [8 per cell]



4.
Calculated X-ray diffraction stick pattern
Compound: Ho2Ga5Pt
Radiation: Cu Kα
Structure: a GGA-PBE-relaxed structure
Neutral-atom scattering factors, no anomalous dispersion.

Peak list (10 most intense, 2θ from 10° to 90°, by intensity)
Position (°2θ)  intensity
36.85  100
42.86  33
74.55  25
62.10  22
42.70  17
74.33  13
20.98  12
78.40  11
62.22  11
29.94  10

Cell: 5.9686 5.9686 8.4699 Å, 90.00 90.00 90.00°
Space group I4mm (No. 107)
One atom of each set of equivalent atoms:
Ho 0.0000 0.5000 0.0000 [4 per cell]
Ga 0.0000 0.0000 0.4970 [2 per cell]
Ga 0.2488 0.2488 0.7498 [8 per cell]
Pt 0.0000 0.0000 0.0033 [2 per cell]



5.
Calculated X-ray diffraction stick pattern
Compound: Ho2Ga3Pt
Radiation: Cu Kα
Structure: a GGA-PBE-relaxed structure
Neutral-atom scattering factors, no anomalous dispersion.

Peak list (10 most intense, 2θ from 10° to 90°, by intensity)
Position (°2θ)  intensity
34.17  100
40.91  55
33.99  48
41.35  27
66.70  26
54.57  25
11.54  22
50.21  17
67.01  13
54.09  13

Cell: 3.6337 4.3667 7.6675 Å, 90.00 90.00 90.00°
Space group Pmm2 (No. 25)
One atom of each set of equivalent atoms:
Ho 0.0000 0.0000 0.0000 [1 per cell]
Ho 0.0000 0.5000 0.4712 [1 per cell]
Ga 0.5000 0.0000 0.6527 [1 per cell]
Ga 0.5000 0.5000 0.1498 [1 per cell]
Ga 0.5000 0.5000 0.8197 [1 per cell]
Pt 0.5000 0.0000 0.3207 [1 per cell]



6.
Calculated X-ray diffraction stick pattern
Compound: HoGa4Pt4
Radiation: Cu Kα
Structure: a GGA-PBE-relaxed structure
Neutral-atom scattering factors, no anomalous dispersion.

Peak list (10 most intense, 2θ from 10° to 90°, by intensity)
Position (°2θ)  intensity
43.10  100
31.75  77
35.24  56
47.89  34
33.82  32
43.50  24
19.99  21
62.50  21
78.96  19
71.24  16

Cell: 5.9439 5.9439 8.8828 Å, 90.00 90.00 90.00°
Space group P4_2/nmc (No. 137, origin choice 2)
One atom of each set of equivalent atoms:
Ho 0.2500 0.7500 0.2500 [2 per cell]
Ga 0.0323 0.2500 0.1657 [8 per cell]
Pt 0.0132 0.2500 0.4584 [8 per cell]